No. 1
Diffraction record for YAs. The powder XRD pattern is computed, not measured: it uses a structure optimized by DFT (GGA-PBE) and copper Kα.
Kinematic intensities with the Lorentz-polarization factor, no thermal factor.

Structure:
a b c (Å): 5.836 5.836 5.836
angles (deg): 90.00 90.00 90.00
Space group Fm-3m (No. 225)
Asymmetric unit:
Y 0.000 0.000 0.000 (multiplicity 4)
As 0.000 0.000 0.500 (multiplicity 4)

Principal peaks in the range 2θ = 5–70°, sorted by position:
26.45 deg, 3.370 Å, I = 1, (1 1 1)
30.64 deg, 2.918 Å, I = 100, (2 0 0)
43.88 deg, 2.063 Å, I = 73, (2 2 0)
54.46 deg, 1.685 Å, I = 25, (2 2 2)
63.79 deg, 1.459 Å, I = 12, (4 0 0)

No. 2
Diffraction record for Zn3As2. The powder XRD pattern is computed, not measured: it uses a structure optimized by DFT (GGA-PBE) and copper Kα.
Kinematic intensities with the Lorentz-polarization factor, no thermal factor.

Structure:
a b c (Å): 11.963 11.963 11.963
angles (deg): 90.00 90.00 90.00
Space group Ia-3 (No. 206)
Asymmetric unit:
Zn 0.110 0.142 0.620 (multiplicity 48)
As 0.000 0.000 0.000 (multiplicity 8)
As 0.000 0.250 0.260 (multiplicity 24)

Principal peaks in the range 2θ = 5–70°, sorted by position:
18.17 deg, 4.884 Å, I = 9, (2 1 1)
25.80 deg, 3.453 Å, I = 53, (2 2 2)
27.91 deg, 3.197 Å, I = 22, (3 2 1)
35.19 deg, 2.550 Å, I = 18, (3 3 2)
42.76 deg, 2.115 Å, I = 100, (4 4 0)
50.62 deg, 1.803 Å, I = 24, (6 2 2)
56.53 deg, 1.628 Å, I = 12, (7 2 1)
60.99 deg, 1.519 Å, I = 8, (7 2 3)
62.07 deg, 1.495 Å, I = 14, (8 0 0)
68.36 deg, 1.372 Å, I = 9, (6 6 2)